1.
# TeMoWSe2S
Calculated X-ray diffraction stick pattern, Cu Kα X-rays. Input: a DFT-relaxed cell (PBE, the Materials Project).
Kinematic intensities with the Lorentz-polarization factor, no thermal factor.

The 10 most intense peaks (2θ = 10–80°), sorted by position:
| h k l | two_theta | I_rel |
| --- | --- | --- |
| 0 0 5 | 11.59 | 100.0 |
| 0 0 6 | 13.92 | 20.4 |
| 1 0 0 | 30.91 | 46.1 |
| 1 0 7 | 35.09 | 14.0 |
| 0 1 8 | 36.30 | 78.4 |
| 0 0 16 | 37.64 | 19.3 |
| 1 0 13 | 43.92 | 46.1 |
| 0 1 14 | 45.71 | 16.0 |
| 1 1 0 | 54.94 | 30.1 |
| 1 1 21 | 77.60 | 12.7 |

Cell and atoms:
a = 3.3431 Å, b = 3.3431 Å, c = 38.1684 Å
α = 90.00°, β = 90.00°, γ = 120.00°
Space group P3m1 (No. 156)
Unique sites:
Te: 0.0000 0.0000 0.0000 (multiplicity 1)
Te: 0.0000 0.0000 0.0999 (multiplicity 1)
Mo: 0.0000 0.0000 0.2379 (multiplicity 1)
Mo: 0.6667 0.3333 0.6743 (multiplicity 1)
W: 0.0000 0.0000 0.8621 (multiplicity 1)
W: 0.6667 0.3333 0.0500 (multiplicity 1)
Se: 0.0000 0.0000 0.6306 (multiplicity 1)
Se: 0.0000 0.0000 0.7179 (multiplicity 1)
Se: 0.6667 0.3333 0.1943 (multiplicity 1)
Se: 0.6667 0.3333 0.2815 (multiplicity 1)
S: 0.6667 0.3333 0.8222 (multiplicity 1)
S: 0.6667 0.3333 0.9020 (multiplicity 1)


2.
# TeMoWSe2S
Calculated X-ray diffraction stick pattern, Cu Kα X-rays. Input: a DFT-relaxed cell (PBE, the Materials Project).
Kinematic intensities with the Lorentz-polarization factor, no thermal factor.

The 10 most intense peaks (2θ = 10–80°), sorted by position:
| h k l | two_theta | I_rel |
| --- | --- | --- |
| 0 0 5 | 11.61 | 100.0 |
| 0 0 6 | 13.94 | 14.9 |
| 1 0 0 | 30.89 | 42.7 |
| 1 0 5 | 33.07 | 16.5 |
| 1 0 8 | 36.29 | 81.4 |
| 1 0 9 | 37.61 | 15.0 |
| 0 1 13 | 43.93 | 47.8 |
| 1 0 14 | 45.73 | 16.4 |
| 1 1 0 | 54.90 | 31.5 |
| 1 1 21 | 77.61 | 13.4 |

Cell and atoms:
a = 3.3457 Å, b = 3.3457 Å, c = 38.1191 Å
α = 90.00°, β = 90.00°, γ = 120.00°
Space group P3m1 (No. 156)
Unique sites:
Te: 0.0000 0.0000 0.0000 (multiplicity 1)
Te: 0.0000 0.0000 0.1001 (multiplicity 1)
Mo: 0.0000 0.0000 0.2380 (multiplicity 1)
Mo: 0.0000 0.0000 0.8622 (multiplicity 1)
W: 0.3333 0.6667 0.0501 (multiplicity 1)
W: 0.3333 0.6667 0.4259 (multiplicity 1)
Se: 0.0000 0.0000 0.3819 (multiplicity 1)
Se: 0.0000 0.0000 0.4698 (multiplicity 1)
Se: 0.3333 0.6667 0.1943 (multiplicity 1)
Se: 0.3333 0.6667 0.2818 (multiplicity 1)
S: 0.3333 0.6667 0.8225 (multiplicity 1)
S: 0.3333 0.6667 0.9020 (multiplicity 1)


3.
# Te2Mo3WSe2S4
Calculated X-ray diffraction stick pattern, Cu Kα X-rays. Input: a DFT-relaxed cell (PBE, the Materials Project).
Kinematic intensities with the Lorentz-polarization factor, no thermal factor.

The 10 most intense peaks (2θ = 10–80°), sorted by position:
| h k l | two_theta | I_rel |
| --- | --- | --- |
| 0 0 5 | 11.87 | 100.0 |
| 0 0 6 | 14.26 | 21.9 |
| 0 0 8 | 19.05 | 15.4 |
| 1 0 0 | 31.20 | 51.0 |
| 1 0 5 | 33.49 | 15.0 |
| 1 0 8 | 36.81 | 93.8 |
| 1 0 10 | 39.66 | 17.8 |
| 0 1 13 | 44.70 | 44.9 |
| 1 1 0 | 55.52 | 27.5 |
| 0 2 8 | 68.48 | 14.8 |

Cell and atoms:
a = 3.3105 Å, b = 3.3105 Å, c = 37.2684 Å
α = 90.00°, β = 90.00°, γ = 120.00°
Space group P3m1 (No. 156)
Unique sites:
Te: 0.0000 0.0000 0.0000 (multiplicity 1)
Te: 0.0000 0.0000 0.1026 (multiplicity 1)
Mo: 0.0000 0.0000 0.2392 (multiplicity 1)
Mo: 0.6667 0.3333 0.0513 (multiplicity 1)
Mo: 0.6667 0.3333 0.4271 (multiplicity 1)
W: 0.0000 0.0000 0.6150 (multiplicity 1)
Se: 0.0000 0.0000 0.3821 (multiplicity 1)
Se: 0.0000 0.0000 0.4721 (multiplicity 1)
S: 0.6667 0.3333 0.1982 (multiplicity 1)
S: 0.6667 0.3333 0.2802 (multiplicity 1)
S: 0.6667 0.3333 0.5738 (multiplicity 1)
S: 0.6667 0.3333 0.6561 (multiplicity 1)


4.
# Te2Mo3WSe2S4
Calculated X-ray diffraction stick pattern, Cu Kα X-rays. Input: a DFT-relaxed cell (PBE, the Materials Project).
Kinematic intensities with the Lorentz-polarization factor, no thermal factor.

The 10 most intense peaks (2θ = 10–80°), sorted by position:
| h k l | two_theta | I_rel |
| --- | --- | --- |
| 0 0 5 | 11.78 | 100.0 |
| 0 0 6 | 14.14 | 25.6 |
| 1 0 0 | 31.26 | 48.4 |
| 1 0 5 | 33.48 | 14.7 |
| 0 1 8 | 36.75 | 81.8 |
| 1 0 10 | 39.56 | 16.7 |
| 1 0 13 | 44.53 | 42.7 |
| 0 1 14 | 46.36 | 14.6 |
| 1 1 0 | 55.58 | 25.4 |
| 2 0 8 | 68.50 | 12.8 |

Cell and atoms:
a = 3.3072 Å, b = 3.3072 Å, c = 37.5747 Å
α = 90.00°, β = 90.00°, γ = 120.00°
Space group P3m1 (No. 156)
Unique sites:
Te: 0.0000 0.0000 0.0000 (multiplicity 1)
Te: 0.0000 0.0000 0.1017 (multiplicity 1)
Mo: 0.0000 0.0000 0.4872 (multiplicity 1)
Mo: 0.0000 0.0000 0.8630 (multiplicity 1)
Mo: 0.3333 0.6667 0.0509 (multiplicity 1)
W: 0.3333 0.6667 0.6751 (multiplicity 1)
Se: 0.3333 0.6667 0.4426 (multiplicity 1)
Se: 0.3333 0.6667 0.5319 (multiplicity 1)
S: 0.0000 0.0000 0.6343 (multiplicity 1)
S: 0.0000 0.0000 0.7159 (multiplicity 1)
S: 0.3333 0.6667 0.8223 (multiplicity 1)
S: 0.3333 0.6667 0.9037 (multiplicity 1)


5.
# Te2MoW3Se4S2
Calculated X-ray diffraction stick pattern, Cu Kα X-rays. Input: a DFT-relaxed cell (PBE, the Materials Project).
Kinematic intensities with the Lorentz-polarization factor, no thermal factor.

The 10 most intense peaks (2θ = 10–80°), sorted by position:
| h k l | two_theta | I_rel |
| --- | --- | --- |
| 0 0 5 | 11.15 | 100.0 |
| 0 0 6 | 13.39 | 25.1 |
| 1 0 0 | 30.93 | 31.6 |
| 1 0 5 | 32.96 | 12.3 |
| 0 1 8 | 35.94 | 58.5 |
| 0 1 13 | 43.09 | 42.3 |
| 1 0 14 | 44.77 | 15.2 |
| 1 1 0 | 55.00 | 22.0 |
| 1 1 5 | 56.29 | 11.2 |
| 1 1 21 | 76.07 | 10.1 |

Cell and atoms:
a = 3.3400 Å, b = 3.3400 Å, c = 39.6693 Å
α = 90.00°, β = 90.00°, γ = 120.00°
Space group P3m1 (No. 156)
Unique sites:
Te: 0.0000 0.0000 0.0000 (multiplicity 1)
Te: 0.0000 0.0000 0.0956 (multiplicity 1)
Mo: 0.6667 0.3333 0.0478 (multiplicity 1)
W: 0.0000 0.0000 0.2381 (multiplicity 1)
W: 0.0000 0.0000 0.6131 (multiplicity 1)
W: 0.6667 0.3333 0.4256 (multiplicity 1)
Se: 0.0000 0.0000 0.3834 (multiplicity 1)
Se: 0.0000 0.0000 0.4679 (multiplicity 1)
Se: 0.6667 0.3333 0.1959 (multiplicity 1)
Se: 0.6667 0.3333 0.2803 (multiplicity 1)
S: 0.6667 0.3333 0.5747 (multiplicity 1)
S: 0.6667 0.3333 0.6514 (multiplicity 1)


6.
# Te2MoWSeS
Calculated X-ray diffraction stick pattern, Cu Kα X-rays. Input: a DFT-relaxed cell (PBE, the Materials Project).
Kinematic intensities with the Lorentz-polarization factor, no thermal factor.

The 10 most intense peaks (2θ = 10–80°), sorted by position:
| h k l | two_theta | I_rel |
| --- | --- | --- |
| 0 0 5 | 10.94 | 100.0 |
| 0 0 6 | 13.13 | 12.9 |
| 1 0 0 | 30.39 | 36.5 |
| 1 0 5 | 32.38 | 12.9 |
| 0 1 8 | 35.29 | 71.4 |
| 0 1 10 | 37.81 | 12.6 |
| 1 0 11 | 39.21 | 11.9 |
| 0 1 13 | 42.27 | 50.9 |
| 1 1 0 | 53.98 | 25.7 |
| 1 1 21 | 74.47 | 12.7 |

Cell and atoms:
a = 3.3976 Å, b = 3.3976 Å, c = 40.4484 Å
α = 90.00°, β = 90.00°, γ = 120.00°
Space group P3m1 (No. 156)
Unique sites:
Te: 0.0000 0.0000 0.0000 (multiplicity 1)
Te: 0.0000 0.0000 0.0932 (multiplicity 1)
Te: 0.3333 0.6667 0.8085 (multiplicity 1)
Te: 0.3333 0.6667 0.9012 (multiplicity 1)
Mo: 0.0000 0.0000 0.8548 (multiplicity 1)
Mo: 0.3333 0.6667 0.6687 (multiplicity 1)
W: 0.0000 0.0000 0.4810 (multiplicity 1)
W: 0.3333 0.6667 0.0466 (multiplicity 1)
Se: 0.3333 0.6667 0.4400 (multiplicity 1)
Se: 0.3333 0.6667 0.5219 (multiplicity 1)
S: 0.0000 0.0000 0.6316 (multiplicity 1)
S: 0.0000 0.0000 0.7059 (multiplicity 1)


7.
# Te2Mo3WSe4S2
Calculated X-ray diffraction stick pattern, Cu Kα X-rays. Input: a DFT-relaxed cell (PBE, the Materials Project).
Kinematic intensities with the Lorentz-polarization factor, no thermal factor.

The 10 most intense peaks (2θ = 10–80°), sorted by position:
| h k l | two_theta | I_rel |
| --- | --- | --- |
| 0 0 5 | 11.64 | 100.0 |
| 0 0 6 | 13.97 | 22.0 |
| 1 0 0 | 30.90 | 48.2 |
| 1 0 5 | 33.10 | 13.9 |
| 0 1 8 | 36.32 | 86.0 |
| 1 0 10 | 39.10 | 15.3 |
| 1 0 13 | 44.00 | 50.0 |
| 0 1 14 | 45.80 | 17.5 |
| 1 1 0 | 54.92 | 29.8 |
| 1 1 21 | 77.74 | 14.2 |

Cell and atoms:
a = 3.3443 Å, b = 3.3443 Å, c = 38.0224 Å
α = 90.00°, β = 90.00°, γ = 120.00°
Space group P3m1 (No. 156)
Unique sites:
Te: 0.0000 0.0000 0.0000 (multiplicity 1)
Te: 0.0000 0.0000 0.0998 (multiplicity 1)
Mo: 0.0000 0.0000 0.4863 (multiplicity 1)
Mo: 0.0000 0.0000 0.8620 (multiplicity 1)
Mo: 0.3333 0.6667 0.0499 (multiplicity 1)
W: 0.3333 0.6667 0.6742 (multiplicity 1)
Se: 0.0000 0.0000 0.6301 (multiplicity 1)
Se: 0.0000 0.0000 0.7183 (multiplicity 1)
Se: 0.3333 0.6667 0.4425 (multiplicity 1)
Se: 0.3333 0.6667 0.5301 (multiplicity 1)
S: 0.3333 0.6667 0.8222 (multiplicity 1)
S: 0.3333 0.6667 0.9019 (multiplicity 1)


8.
# Te2MoW3Se4S2
Calculated X-ray diffraction stick pattern, Cu Kα X-rays. Input: a DFT-relaxed cell (PBE, the Materials Project).
Kinematic intensities with the Lorentz-polarization factor, no thermal factor.

The 10 most intense peaks (2θ = 10–80°), sorted by position:
| h k l | two_theta | I_rel |
| --- | --- | --- |
| 0 0 5 | 11.62 | 100.0 |
| 0 0 6 | 13.96 | 25.1 |
| 1 0 0 | 30.93 | 39.0 |
| 1 0 5 | 33.13 | 13.3 |
| 0 1 8 | 36.34 | 75.1 |
| 1 0 13 | 44.00 | 42.7 |
| 0 1 14 | 45.79 | 15.5 |
| 1 1 0 | 54.99 | 24.6 |
| 2 0 8 | 67.70 | 12.1 |
| 1 1 21 | 77.74 | 11.8 |

Cell and atoms:
a = 3.3404 Å, b = 3.3404 Å, c = 38.0746 Å
α = 90.00°, β = 90.00°, γ = 120.00°
Space group P3m1 (No. 156)
Unique sites:
Te: 0.0000 0.0000 0.0000 (multiplicity 1)
Te: 0.0000 0.0000 0.0996 (multiplicity 1)
Mo: 0.6667 0.3333 0.0498 (multiplicity 1)
W: 0.0000 0.0000 0.2377 (multiplicity 1)
W: 0.0000 0.0000 0.6135 (multiplicity 1)
W: 0.6667 0.3333 0.4256 (multiplicity 1)
Se: 0.0000 0.0000 0.3816 (multiplicity 1)
Se: 0.0000 0.0000 0.4696 (multiplicity 1)
Se: 0.6667 0.3333 0.5695 (multiplicity 1)
Se: 0.6667 0.3333 0.6574 (multiplicity 1)
S: 0.6667 0.3333 0.1977 (multiplicity 1)
S: 0.6667 0.3333 0.2777 (multiplicity 1)


9.
# TeMoWSe2S
Calculated X-ray diffraction stick pattern, Cu Kα X-rays. Input: a DFT-relaxed cell (PBE, the Materials Project).
Kinematic intensities with the Lorentz-polarization factor, no thermal factor.

The 10 most intense peaks (2θ = 10–80°), sorted by position:
| h k l | two_theta | I_rel |
| --- | --- | --- |
| 0 0 5 | 11.29 | 100.0 |
| 0 0 6 | 13.55 | 19.5 |
| 1 0 0 | 30.89 | 38.2 |
| 0 1 7 | 34.87 | 14.9 |
| 1 0 8 | 36.01 | 64.8 |
| 1 0 9 | 37.28 | 17.3 |
| 1 0 13 | 43.31 | 46.1 |
| 0 1 14 | 45.03 | 16.8 |
| 1 1 0 | 54.90 | 29.1 |
| 1 1 21 | 76.46 | 12.2 |

Cell and atoms:
a = 3.3455 Å, b = 3.3455 Å, c = 39.1970 Å
α = 90.00°, β = 90.00°, γ = 120.00°
Space group P3m1 (No. 156)
Unique sites:
Te: 0.0000 0.0000 0.0000 (multiplicity 1)
Te: 0.0000 0.0000 0.0972 (multiplicity 1)
Mo: 0.0000 0.0000 0.2373 (multiplicity 1)
Mo: 0.6667 0.3333 0.6728 (multiplicity 1)
W: 0.0000 0.0000 0.8601 (multiplicity 1)
W: 0.6667 0.3333 0.0486 (multiplicity 1)
Se: 0.6667 0.3333 0.1948 (multiplicity 1)
Se: 0.6667 0.3333 0.2797 (multiplicity 1)
Se: 0.6667 0.3333 0.8174 (multiplicity 1)
Se: 0.6667 0.3333 0.9028 (multiplicity 1)
S: 0.0000 0.0000 0.6342 (multiplicity 1)
S: 0.0000 0.0000 0.7114 (multiplicity 1)


10.
# Te2Mo3WSe4S2
Calculated X-ray diffraction stick pattern, Cu Kα X-rays. Input: a DFT-relaxed cell (PBE, the Materials Project).
Kinematic intensities with the Lorentz-polarization factor, no thermal factor.

The 10 most intense peaks (2θ = 10–80°), sorted by position:
| h k l | two_theta | I_rel |
| --- | --- | --- |
| 0 0 5 | 11.61 | 100.0 |
| 0 0 6 | 13.95 | 16.0 |
| 1 0 0 | 30.91 | 51.9 |
| 0 1 7 | 35.10 | 16.5 |
| 1 0 8 | 36.31 | 86.3 |
| 1 0 9 | 37.64 | 21.6 |
| 1 0 13 | 43.96 | 51.9 |
| 0 1 14 | 45.76 | 17.9 |
| 1 1 0 | 54.94 | 36.2 |
| 1 1 21 | 77.67 | 14.7 |

Cell and atoms:
a = 3.3437 Å, b = 3.3437 Å, c = 38.0954 Å
α = 90.00°, β = 90.00°, γ = 120.00°
Space group P3m1 (No. 156)
Unique sites:
Te: 0.0000 0.0000 0.0000 (multiplicity 1)
Te: 0.0000 0.0000 0.0995 (multiplicity 1)
Mo: 0.0000 0.0000 0.2377 (multiplicity 1)
Mo: 0.6667 0.3333 0.0497 (multiplicity 1)
Mo: 0.6667 0.3333 0.6740 (multiplicity 1)
W: 0.0000 0.0000 0.8618 (multiplicity 1)
Se: 0.6667 0.3333 0.1939 (multiplicity 1)
Se: 0.6667 0.3333 0.2814 (multiplicity 1)
Se: 0.6667 0.3333 0.8178 (multiplicity 1)
Se: 0.6667 0.3333 0.9058 (multiplicity 1)
S: 0.0000 0.0000 0.6342 (multiplicity 1)
S: 0.0000 0.0000 0.7138 (multiplicity 1)


11.
# Te2Mo3WSe4S2
Calculated X-ray diffraction stick pattern, Cu Kα X-rays. Input: a DFT-relaxed cell (PBE, the Materials Project).
Kinematic intensities with the Lorentz-polarization factor, no thermal factor.

The 10 most intense peaks (2θ = 10–80°), sorted by position:
| h k l | two_theta | I_rel |
| --- | --- | --- |
| 0 0 5 | 11.64 | 100.0 |
| 0 0 6 | 13.97 | 19.1 |
| 1 0 0 | 30.89 | 46.0 |
| 1 0 5 | 33.10 | 14.4 |
| 0 1 8 | 36.32 | 90.9 |
| 0 1 10 | 39.10 | 21.2 |
| 1 0 13 | 44.00 | 51.0 |
| 1 0 14 | 45.80 | 15.8 |
| 1 1 0 | 54.92 | 28.9 |
| 1 1 21 | 77.74 | 14.6 |

Cell and atoms:
a = 3.3441 Å, b = 3.3441 Å, c = 38.0270 Å
α = 90.00°, β = 90.00°, γ = 120.00°
Space group P3m1 (No. 156)
Unique sites:
Te: 0.0000 0.0000 0.0000 (multiplicity 1)
Te: 0.0000 0.0000 0.0998 (multiplicity 1)
Mo: 0.0000 0.0000 0.2378 (multiplicity 1)
Mo: 0.6667 0.3333 0.0499 (multiplicity 1)
Mo: 0.6667 0.3333 0.4256 (multiplicity 1)
W: 0.0000 0.0000 0.6135 (multiplicity 1)
Se: 0.0000 0.0000 0.3818 (multiplicity 1)
Se: 0.0000 0.0000 0.4695 (multiplicity 1)
Se: 0.6667 0.3333 0.5695 (multiplicity 1)
Se: 0.6667 0.3333 0.6576 (multiplicity 1)
S: 0.6667 0.3333 0.1979 (multiplicity 1)
S: 0.6667 0.3333 0.2777 (multiplicity 1)


12.
# Te2Mo3WSe4S2
Calculated X-ray diffraction stick pattern, Cu Kα X-rays. Input: a DFT-relaxed cell (PBE, the Materials Project).
Kinematic intensities with the Lorentz-polarization factor, no thermal factor.

The 10 most intense peaks (2θ = 10–80°), sorted by position:
| h k l | two_theta | I_rel |
| --- | --- | --- |
| 0 0 5 | 11.64 | 100.0 |
| 0 0 6 | 13.97 | 17.0 |
| 1 0 0 | 30.94 | 57.6 |
| 1 0 8 | 36.35 | 88.7 |
| 0 1 9 | 37.68 | 14.8 |
| 1 0 13 | 44.02 | 51.5 |
| 0 1 14 | 45.82 | 16.2 |
| 1 1 0 | 54.98 | 32.7 |
| 2 0 8 | 67.71 | 14.0 |
| 1 1 21 | 77.79 | 14.3 |

Cell and atoms:
a = 3.3406 Å, b = 3.3406 Å, c = 38.0251 Å
α = 90.00°, β = 90.00°, γ = 120.00°
Space group P3m1 (No. 156)
Unique sites:
Te: 0.0000 0.0000 0.0000 (multiplicity 1)
Te: 0.0000 0.0000 0.0997 (multiplicity 1)
Mo: 0.0000 0.0000 0.8619 (multiplicity 1)
Mo: 0.3333 0.6667 0.0498 (multiplicity 1)
Mo: 0.3333 0.6667 0.4256 (multiplicity 1)
W: 0.0000 0.0000 0.2377 (multiplicity 1)
Se: 0.0000 0.0000 0.3817 (multiplicity 1)
Se: 0.0000 0.0000 0.4694 (multiplicity 1)
Se: 0.3333 0.6667 0.8181 (multiplicity 1)
Se: 0.3333 0.6667 0.9057 (multiplicity 1)
S: 0.3333 0.6667 0.1977 (multiplicity 1)
S: 0.3333 0.6667 0.2777 (multiplicity 1)


13.
# Te2MoW3Se4S2
Calculated X-ray diffraction stick pattern, Cu Kα X-rays. Input: a DFT-relaxed cell (PBE, the Materials Project).
Kinematic intensities with the Lorentz-polarization factor, no thermal factor.

The 10 most intense peaks (2θ = 10–80°), sorted by position:
| h k l | two_theta | I_rel |
| --- | --- | --- |
| 0 0 5 | 11.61 | 100.0 |
| 0 0 6 | 13.94 | 19.0 |
| 1 0 0 | 30.89 | 39.4 |
| 1 0 5 | 33.08 | 13.7 |
| 0 1 7 | 35.09 | 13.4 |
| 1 0 8 | 36.29 | 75.0 |
| 1 0 9 | 37.62 | 15.9 |
| 0 1 13 | 43.93 | 43.8 |
| 1 0 14 | 45.73 | 16.3 |
| 1 1 0 | 54.91 | 29.6 |

Cell and atoms:
a = 3.3448 Å, b = 3.3448 Å, c = 38.1265 Å
α = 90.00°, β = 90.00°, γ = 120.00°
Space group P3m1 (No. 156)
Unique sites:
Te: 0.0000 0.0000 0.0000 (multiplicity 1)
Te: 0.0000 0.0000 0.1000 (multiplicity 1)
Mo: 0.0000 0.0000 0.8622 (multiplicity 1)
W: 0.0000 0.0000 0.2380 (multiplicity 1)
W: 0.3333 0.6667 0.0501 (multiplicity 1)
W: 0.3333 0.6667 0.4258 (multiplicity 1)
Se: 0.0000 0.0000 0.3819 (multiplicity 1)
Se: 0.0000 0.0000 0.4698 (multiplicity 1)
Se: 0.3333 0.6667 0.1940 (multiplicity 1)
Se: 0.3333 0.6667 0.2819 (multiplicity 1)
S: 0.3333 0.6667 0.8224 (multiplicity 1)
S: 0.3333 0.6667 0.9020 (multiplicity 1)